[1]
Theoretical X-ray powder pattern
Compound: Th2InAg3
Radiation: Cu Kα (λ = 1.5418 Å)
Structure: a PBE-relaxed structure

Principal peaks in the range 10 to 90 degrees two-theta, sorted by position:
| hkl | Position (°2θ) | I/Imax |
| --- | --- | --- |
| 1 0 3 | 29.84 | 14 |
| 0 1 5 | 31.11 | 33 |
| 1 1 2 | 33.23 | 100 |
| 1 0 5 | 36.17 | 27 |
| 0 2 0 | 36.80 | 32 |
| 0 1 7 | 40.00 | 26 |
| 1 2 5 | 52.55 | 18 |
| 1 3 2 | 64.03 | 15 |

Structural model:
```
data_Th2InAg3
_chemical_formula_sum 'Th4 In2 Ag6'
_cell_length_a 3.4701
_cell_length_b 4.8844
_cell_length_c 17.7825
_cell_angle_alpha 90.00
_cell_angle_beta 90.00
_cell_angle_gamma 90.00
_space_group_name_H-M_alt 'I m m 2'
_space_group_IT_number 44
_space_group_name_Hall 'I 2 -2'
loop_
_atom_site_label
_atom_site_type_symbol
_atom_site_fract_x
_atom_site_fract_y
_atom_site_fract_z
_atom_site_occupancy
Th1 Th 0.0000 0.0000 0.0000 1
Th2 Th 0.0000 0.5000 0.2604 1
In1 In 0.0000 0.0000 0.5949 1
Ag1 Ag 0.0000 0.0000 0.4375 1
Ag2 Ag 0.0000 0.5000 0.6678 1
Ag3 Ag 0.0000 0.5000 0.8220 1
```

=====

[2]
Theoretical X-ray powder pattern
Compound: Be6Nb2Ni21
Radiation: Cu Kα (λ = 1.5418 Å)
Structure: a PBE-relaxed structure

Principal peaks in the range 10 to 90 degrees two-theta, sorted by position:
| hkl | Position (°2θ) | I/Imax |
| --- | --- | --- |
| 4 2 0 | 37.50 | 33 |
| 4 2 2 | 41.24 | 40 |
| 3 3 3 | 43.86 | 100 |
| 4 4 0 | 47.98 | 27 |
| 5 3 1 | 50.33 | 27 |
| 6 6 0 | 75.17 | 26 |
| 5 5 5 | 77.00 | 13 |
| 8 4 4 | 89.54 | 19 |

Structural model:
```
data_Be6Nb2Ni21
_chemical_formula_sum 'Be24 Nb8 Ni84'
_cell_length_a 10.7254
_cell_length_b 10.7254
_cell_length_c 10.7254
_cell_angle_alpha 90.00
_cell_angle_beta 90.00
_cell_angle_gamma 90.00
_space_group_name_H-M_alt 'F m -3 m'
_space_group_IT_number 225
_space_group_name_Hall '-F 4 2 3'
loop_
_atom_site_label
_atom_site_type_symbol
_atom_site_fract_x
_atom_site_fract_y
_atom_site_fract_z
_atom_site_occupancy
Be1 Be 0.0000 0.0000 0.2294 1
Nb1 Nb 0.2500 0.2500 0.2500 1
Ni1 Ni 0.0000 0.0000 0.5000 1
Ni2 Ni 0.0000 0.1713 0.3287 1
Ni3 Ni 0.1190 0.1190 0.1190 1
```

=====

[3]
Theoretical X-ray powder pattern
Compound: InPb2Au3
Radiation: Cu Kα (λ = 1.5418 Å)
Structure: a PBE-relaxed structure

Principal peaks in the range 10 to 90 degrees two-theta, sorted by position:
| hkl | Position (°2θ) | I/Imax |
| --- | --- | --- |
| 3 1 0 | 23.03 | 31 |
| 0 2 1 | 27.17 | 35 |
| 3 1 1 | 27.87 | 75 |
| 0 2 2 | 38.68 | 59 |
| 3 1 2 | 39.19 | 100 |
| 3 3 0 | 39.45 | 85 |
| 6 0 0 | 40.95 | 36 |
| 6 2 2 | 57.59 | 33 |

Structural model:
```
data_InPb2Au3
_chemical_formula_sum 'In4 Pb8 Au12'
_cell_length_a 13.2238
_cell_length_b 8.0134
_cell_length_c 5.7209
_cell_angle_alpha 90.00
_cell_angle_beta 90.00
_cell_angle_gamma 90.00
_space_group_name_H-M_alt 'C m c m'
_space_group_IT_number 63
_space_group_name_Hall '-C 2c 2'
loop_
_atom_site_label
_atom_site_type_symbol
_atom_site_fract_x
_atom_site_fract_y
_atom_site_fract_z
_atom_site_occupancy
In1 In 0.0000 0.1841 0.2500 1
Pb1 Pb 0.1715 0.3311 0.7500 1
Au1 Au 0.0000 0.5000 0.0000 1
Au2 Au 0.1529 0.0000 0.0000 1
```

=====

[4]
Theoretical X-ray powder pattern
Compound: FeRu2W
Radiation: Cu Kα (λ = 1.5418 Å)
Structure: a PBE-relaxed structure

Principal peaks in the range 10 to 90 degrees two-theta, sorted by position:
| hkl | Position (°2θ) | I/Imax |
| --- | --- | --- |
| 1 0 1 | 25.95 | 24 |
| 1 1 2 | 40.96 | 100 |
| 2 0 0 | 46.92 | 34 |
| 0 0 4 | 49.10 | 15 |
| 2 0 4 | 70.26 | 20 |
| 3 1 2 | 83.03 | 25 |
| 1 1 6 | 86.29 | 14 |
| 2 2 4 | 88.80 | 11 |

Structural model:
```
data_FeRu2W
_chemical_formula_sum 'Fe2 Ru4 W2'
_cell_length_a 3.8732
_cell_length_b 3.8732
_cell_length_c 7.4219
_cell_angle_alpha 90.00
_cell_angle_beta 90.00
_cell_angle_gamma 90.00
_space_group_name_H-M_alt 'I 4/m m m'
_space_group_IT_number 139
_space_group_name_Hall '-I 4 2'
loop_
_atom_site_label
_atom_site_type_symbol
_atom_site_fract_x
_atom_site_fract_y
_atom_site_fract_z
_atom_site_occupancy
Fe1 Fe 0.0000 0.0000 0.0000 1
Ru1 Ru 0.0000 0.5000 0.2500 1
W1 W 0.0000 0.0000 0.5000 1
```

=====

[5]
Theoretical X-ray powder pattern
Compound: Rb7H5Se
Radiation: Cu Kα (λ = 1.5418 Å)
Structure: a PBE-relaxed structure

Principal peaks in the range 10 to 90 degrees two-theta, sorted by position:
| hkl | Position (°2θ) | I/Imax |
| --- | --- | --- |
| 1 1 -4 | 25.13 | 81 |
| 4 0 -2 | 26.33 | 27 |
| 1 1 -5 | 27.32 | 53 |
| 2 0 7 | 27.84 | 100 |
| 3 1 2 | 28.39 | 88 |
| 3 1 -3 | 29.51 | 57 |
| 0 2 0 | 40.08 | 32 |
| 2 2 7 | 49.50 | 39 |

Structural model:
```
data_Rb7H5Se
_chemical_formula_sum 'Rb28 H20 Se4'
_cell_length_a 14.0578
_cell_length_b 4.4992
_cell_length_c 25.2052
_cell_angle_alpha 90.00
_cell_angle_beta 90.00
_cell_angle_gamma 90.00
_space_group_name_H-M_alt 'C 1 2/m 1'
_space_group_IT_number 12
_space_group_name_Hall '-C 2y'
loop_
_atom_site_label
_atom_site_type_symbol
_atom_site_fract_x
_atom_site_fract_y
_atom_site_fract_z
_atom_site_occupancy
Rb1 Rb 0.0310 0.0000 0.2500 1
Rb2 Rb 0.0933 0.5000 0.1103 1
Rb3 Rb 0.0926 0.5000 0.3900 1
Rb4 Rb 0.1344 0.0000 0.5336 1
Rb5 Rb 0.1340 0.0000 0.9662 1
Rb6 Rb 0.1843 0.5000 0.8292 1
Rb7 Rb 0.1850 0.5000 0.6707 1
H1 H 0.0000 0.5001 0.0001 1
H2 H 0.0000 0.5000 0.5000 1
H3 H 0.0419 0.0000 0.6404 1
H4 H 0.0415 0.0000 0.8598 1
H5 H 0.2260 0.0000 0.0698 1
H6 H 0.2257 0.0000 0.4299 1
Se1 Se 0.2018 0.5000 0.2499 1
```

=====

[6]
Theoretical X-ray powder pattern
Compound: Sc5ZnRh6
Radiation: Cu Kα (λ = 1.5418 Å)
Structure: a PBE-relaxed structure

Principal peaks in the range 10 to 90 degrees two-theta, sorted by position:
| hkl | Position (°2θ) | I/Imax |
| --- | --- | --- |
| 2 0 0 | 27.84 | 9 |
| 1 3 -1 | 28.03 | 17 |
| 1 3 1 | 39.91 | 100 |
| 2 0 -2 | 40.05 | 49 |
| 4 0 0 | 57.51 | 8 |
| 2 6 -2 | 57.93 | 16 |
| 6 0 -2 | 72.43 | 12 |
| 5 3 -3 | 72.71 | 23 |

Structural model:
```
data_Sc5ZnRh6
_chemical_formula_sum 'Sc10 Zn2 Rh12'
_cell_length_a 7.8276
_cell_length_b 13.4933
_cell_length_c 4.5072
_cell_angle_alpha 90.00
_cell_angle_beta 125.02
_cell_angle_gamma 90.00
_space_group_name_H-M_alt 'C 1 2/m 1'
_space_group_IT_number 12
_space_group_name_Hall '-C 2y'
loop_
_atom_site_label
_atom_site_type_symbol
_atom_site_fract_x
_atom_site_fract_y
_atom_site_fract_z
_atom_site_occupancy
Sc1 Sc 0.0000 0.0000 0.0000 1
Sc2 Sc 0.0000 0.1696 0.5000 1
Sc3 Sc 0.0000 0.3424 0.0000 1
Zn1 Zn 0.0000 0.5000 0.5000 1
Rh1 Rh 0.2456 0.0000 0.7456 1
Rh2 Rh 0.2495 0.1663 0.2495 1
```

=====

[7]
Theoretical X-ray powder pattern
Compound: Tb2Tm7
Radiation: Cu Kα (λ = 1.5418 Å)
Structure: a PBE-relaxed structure

Principal peaks in the range 10 to 90 degrees two-theta, sorted by position:
| hkl | Position (°2θ) | I/Imax |
| --- | --- | --- |
| 1 1 1 | 31.62 | 82 |
| 3 0 0 | 32.64 | 100 |
| 2 0 1 | 33.49 | 26 |
| 2 1 1 | 38.62 | 19 |
| 2 2 1 | 46.08 | 24 |
| 3 2 1 | 55.19 | 20 |
| 4 1 1 | 57.61 | 21 |
| 3 0 2 | 62.70 | 31 |

Structural model:
```
data_Tb2Tm7
_chemical_formula_sum 'Tb2 Tm7'
_cell_length_a 9.5045
_cell_length_b 9.5045
_cell_length_c 3.5216
_cell_angle_alpha 90.00
_cell_angle_beta 90.00
_cell_angle_gamma 120.00
_space_group_name_H-M_alt 'P -6 2 m'
_space_group_IT_number 189
_space_group_name_Hall 'P -6 -2'
loop_
_atom_site_label
_atom_site_type_symbol
_atom_site_fract_x
_atom_site_fract_y
_atom_site_fract_z
_atom_site_occupancy
Tb1 Tb 0.3333 0.6667 0.0000 1
Tm1 Tm 0.0000 0.0000 0.5000 1
Tm2 Tm 0.0000 0.3598 0.5000 1
Tm3 Tm 0.0000 0.6958 0.0000 1
```

=====

[8]
Theoretical X-ray powder pattern
Compound: Pu2ICl4
Radiation: Cu Kα (λ = 1.5418 Å)
Structure: a PBE-relaxed structure

Principal peaks in the range 10 to 90 degrees two-theta, sorted by position:
| hkl | Position (°2θ) | I/Imax |
| --- | --- | --- |
| 1 1 0 | 12.25 | 84 |
| 0 0 1 | 13.54 | 86 |
| 1 1 1 | 20.22 | 79 |
| 2 2 0 | 24.65 | 52 |
| 2 2 -1 | 25.41 | 100 |
| 3 1 -2 | 27.35 | 52 |
| 0 2 2 | 34.93 | 89 |
| 4 2 1 | 39.57 | 51 |

Structural model:
```
data_Pu2ICl4
_chemical_formula_sum 'Pu8 I4 Cl16'
_cell_length_a 16.3356
_cell_length_b 8.3031
_cell_length_c 7.3092
_cell_angle_alpha 90.00
_cell_angle_beta 116.28
_cell_angle_gamma 90.00
_space_group_name_H-M_alt 'C 1 m 1'
_space_group_IT_number 8
_space_group_name_Hall 'C -2y'
loop_
_atom_site_label
_atom_site_type_symbol
_atom_site_fract_x
_atom_site_fract_y
_atom_site_fract_z
_atom_site_occupancy
Pu1 Pu 0.0000 0.0000 0.0000 1
Pu2 Pu 0.1052 0.0000 0.6051 1
Pu3 Pu 0.3032 0.2503 0.2269 1
I1 I 0.1864 0.5000 0.3388 1
I2 I 0.4186 0.0000 0.5706 1
Cl1 Cl 0.1094 0.2236 0.8929 1
Cl2 Cl 0.1845 0.0000 0.3249 1
Cl3 Cl 0.2950 0.0000 0.9452 1
Cl4 Cl 0.3103 0.5000 0.9602 1
Cl5 Cl 0.4206 0.5000 0.5643 1
Cl6 Cl 0.4958 0.2763 0.2791 1
```

=====

[9]
Theoretical X-ray powder pattern
Compound: Cd8Ag3Au
Radiation: Cu Kα (λ = 1.5418 Å)
Structure: a PBE-relaxed structure

Principal peaks in the range 10 to 90 degrees two-theta, sorted by position:
| hkl | Position (°2θ) | I/Imax |
| --- | --- | --- |
| 2 0 2 | 28.66 | 59 |
| 0 4 0 | 36.39 | 45 |
| 0 2 6 | 39.11 | 62 |
| 2 2 4 | 39.62 | 100 |
| 2 4 2 | 46.96 | 30 |
| 2 6 4 | 67.65 | 19 |
| 4 2 6 | 68.66 | 22 |
| 2 4 10 | 77.59 | 18 |

Structural model:
```
data_Cd8Ag3Au
_chemical_formula_sum 'Cd32 Ag12 Au4'
_cell_length_a 6.7936
_cell_length_b 9.8753
_cell_length_c 15.6225
_cell_angle_alpha 90.00
_cell_angle_beta 90.00
_cell_angle_gamma 90.00
_space_group_name_H-M_alt 'F m m m'
_space_group_IT_number 69
_space_group_name_Hall '-F 2 2'
loop_
_atom_site_label
_atom_site_type_symbol
_atom_site_fract_x
_atom_site_fract_y
_atom_site_fract_z
_atom_site_occupancy
Cd1 Cd 0.0000 0.2503 0.0963 1
Cd2 Cd 0.2492 0.0000 0.1534 1
Ag1 Ag 0.0000 0.0000 0.0000 1
Ag2 Ag 0.2500 0.2500 0.2500 1
Au1 Au 0.0000 0.0000 0.5000 1
```

=====

[10]
Theoretical X-ray powder pattern
Compound: Sr2Al6Zn3
Radiation: Cu Kα (λ = 1.5418 Å)
Structure: a PBE-relaxed structure

Principal peaks in the range 10 to 90 degrees two-theta, sorted by position:
| hkl | Position (°2θ) | I/Imax |
| --- | --- | --- |
| 1 1 0 | 22.35 | 22 |
| 1 1 1 | 30.76 | 100 |
| 3 0 0 | 39.24 | 39 |
| 2 1 1 | 40.61 | 32 |
| 0 0 2 | 42.45 | 20 |
| 2 2 1 | 50.66 | 20 |
| 3 0 2 | 59.17 | 22 |
| 4 1 1 | 65.90 | 20 |

Structural model:
```
data_Sr2Al6Zn3
_chemical_formula_sum 'Sr2 Al6 Zn3'
_cell_length_a 7.9538
_cell_length_b 7.9538
_cell_length_c 4.2591
_cell_angle_alpha 90.00
_cell_angle_beta 90.00
_cell_angle_gamma 120.00
_space_group_name_H-M_alt 'P -6 2 m'
_space_group_IT_number 189
_space_group_name_Hall 'P -6 -2'
loop_
_atom_site_label
_atom_site_type_symbol
_atom_site_fract_x
_atom_site_fract_y
_atom_site_fract_z
_atom_site_occupancy
Sr1 Sr 0.3333 0.6667 0.0000 1
Al1 Al 0.0000 0.2935 0.5000 1
Al2 Al 0.0000 0.8086 0.0000 1
Zn1 Zn 0.0000 0.6275 0.5000 1
```